For Li4Mg2In, a DFT-relaxed cell (PBE, Alexandria) gives the simulated powder X-ray diffraction pattern in this record (Cu Kα).
Peak positions follow from Bragg's law for the DFT cell and can differ from measured ones.

Structure:
abc: 10.2371 10.2371 10.2371
angles: 163.24 153.42 31.59
Fractional coordinates of all 7 atoms:
Li  0.0672  0.0672  0.0000
Li  0.3627  0.8627  0.5000
Li  0.6373  0.1373  0.5000
Li  0.9328  0.9328  0.0000
Mg  0.2091  0.7091  0.5000
Mg  0.7909  0.2909  0.5000
In  0.5000  0.5000  0.0000

The 10 most intense peaks (10 to 90 degrees two-theta), low angle first:
| Position (°2θ) | d_spacing | I/Imax |
| --- | --- | --- |
| 18.0 | 4.925 | 80.6 |
| 19.4 | 4.577 | 77.9 |
| 23.3 | 3.825 | 100.0 |
| 30.3 | 2.950 | 33.4 |
| 36.8 | 2.442 | 87.8 |
| 37.2 | 2.415 | 51.5 |
| 37.8 | 2.379 | 43.3 |
| 38.2 | 2.353 | 24.3 |
| 54.9 | 1.673 | 35.5 |
| 68.2 | 1.375 | 28.4 |



For Li5Mg3In3, a DFT-relaxed cell (PBE, Alexandria) gives the simulated powder X-ray diffraction pattern in this record (Cu Kα).
Peak positions follow from Bragg's law for the DFT cell and can differ from measured ones.

Structure:
abc: 5.2295 7.2761 7.2825
angles: 104.08 108.68 108.60
Fractional coordinates of all 11 atoms:
Li  0.0000  0.0000  0.0000
Li  0.0000  0.2398  0.7608
Li  0.5394  0.4575  0.2176
Li  0.9103  0.6095  0.6653
Li  0.9173  0.9063  0.3735
Mg  0.0869  0.6236  0.1041
Mg  0.0960  0.3444  0.3886
Mg  0.4808  0.8064  0.5663
In  0.4976  0.6173  0.8875
In  0.5017  0.1231  0.3715
In  0.5137  0.1394  0.9017

The 10 most intense peaks (10 to 90 degrees two-theta), low angle first:
| Position (°2θ) | d_spacing | I/Imax |
| --- | --- | --- |
| 13.9 | 6.366 | 33.6 |
| 18.7 | 4.748 | 28.4 |
| 19.9 | 4.468 | 100.0 |
| 26.4 | 3.371 | 99.4 |
| 28.0 | 3.183 | 94.4 |
| 31.2 | 2.870 | 31.8 |
| 37.2 | 2.415 | 76.4 |
| 37.9 | 2.374 | 43.4 |
| 38.1 | 2.362 | 30.2 |
| 41.3 | 2.184 | 33.3 |



For Li15MgIn4, a DFT-relaxed cell (PBE, Alexandria) gives the simulated powder X-ray diffraction pattern in this record (Cu Kα).
Peak positions follow from Bragg's law for the DFT cell and can differ from measured ones.

Structure:
abc: 4.1443 4.1443 22.1949
angles: 90.00 90.00 90.00
Fractional coordinates of all 20 atoms:
Li  0.0000  0.0000  0.0000
Li  0.0000  0.0000  0.2008
Li  0.0000  0.0000  0.4002
Li  0.0000  0.0000  0.5998
Li  0.0000  0.0000  0.7992
Li  0.0000  0.5000  0.1032
Li  0.0000  0.5000  0.2997
Li  0.0000  0.5000  0.5000
Li  0.0000  0.5000  0.7003
Li  0.0000  0.5000  0.8968
Li  0.5000  0.0000  0.1032
Li  0.5000  0.0000  0.2997
Li  0.5000  0.0000  0.5000
Li  0.5000  0.0000  0.7003
Li  0.5000  0.0000  0.8968
Mg  0.5000  0.5000  0.0000
In  0.5000  0.5000  0.2022
In  0.5000  0.5000  0.3984
In  0.5000  0.5000  0.6016
In  0.5000  0.5000  0.7978

The 10 most intense peaks (10 to 90 degrees two-theta), low angle first:
| Position (°2θ) | d_spacing | I/Imax |
| --- | --- | --- |
| 20.0 | 4.439 | 58.7 |
| 21.4 | 4.144 | 100.0 |
| 29.5 | 3.029 | 90.5 |
| 30.5 | 2.930 | 41.6 |
| 36.7 | 2.446 | 74.3 |
| 43.7 | 2.072 | 22.7 |
| 46.4 | 1.957 | 25.1 |
| 48.5 | 1.878 | 22.2 |
| 49.2 | 1.853 | 21.4 |
| 53.6 | 1.710 | 32.6 |



For Li6MgIn5, a DFT-relaxed cell (PBE, Alexandria) gives the simulated powder X-ray diffraction pattern in this record (Cu Kα).
Peak positions follow from Bragg's law for the DFT cell and can differ from measured ones.

Structure:
abc: 7.3065 7.3065 7.2700
angles: 90.00 90.00 143.19
Fractional coordinates of all 12 atoms:
Li  0.0000  0.0000  0.2458
Li  0.0000  0.0000  0.7542
Li  0.3311  0.6689  0.2485
Li  0.3311  0.6689  0.7515
Li  0.6689  0.3311  0.2485
Li  0.6689  0.3311  0.7515
Mg  0.5000  0.5000  0.5000
In  0.1644  0.8356  0.5000
In  0.1662  0.8338  0.0000
In  0.5000  0.5000  0.0000
In  0.8338  0.1662  0.0000
In  0.8356  0.1644  0.5000

The 10 most intense peaks (10 to 90 degrees two-theta), low angle first:
| Position (°2θ) | d_spacing | I/Imax |
| --- | --- | --- |
| 24.5 | 3.635 | 59.9 |
| 27.3 | 3.265 | 91.3 |
| 37.0 | 2.429 | 100.0 |
| 39.0 | 2.309 | 42.8 |
| 46.6 | 1.949 | 41.5 |
| 58.1 | 1.588 | 21.0 |
| 62.3 | 1.489 | 16.8 |
| 63.7 | 1.460 | 15.7 |
| 65.3 | 1.428 | 17.9 |
| 69.3 | 1.355 | 29.8 |



For LiMg12In6, a DFT-relaxed cell (PBE, Alexandria) gives the simulated powder X-ray diffraction pattern in this record (Cu Kα).
Peak positions follow from Bragg's law for the DFT cell and can differ from measured ones.

Structure:
abc: 7.6232 7.6232 7.6232
angles: 89.73 89.73 89.73
Fractional coordinates of all 19 atoms:
Li  0.0000  0.0000  0.0000
Mg  0.0414  0.3678  0.1472
Mg  0.1472  0.0414  0.3678
Mg  0.1987  0.5623  0.4766
Mg  0.3678  0.1472  0.0414
Mg  0.4377  0.5234  0.8013
Mg  0.4766  0.1987  0.5623
Mg  0.5234  0.8013  0.4377
Mg  0.5623  0.4766  0.1987
Mg  0.6322  0.8528  0.9586
Mg  0.8013  0.4377  0.5234
Mg  0.8528  0.9586  0.6322
Mg  0.9586  0.6322  0.8528
In  0.1178  0.2747  0.7352
In  0.2648  0.8822  0.7253
In  0.2747  0.7352  0.1178
In  0.7253  0.2648  0.8822
In  0.7352  0.1178  0.2747
In  0.8822  0.7253  0.2648

The 10 most intense peaks (10 to 90 degrees two-theta), low angle first:
| Position (°2θ) | d_spacing | I/Imax |
| --- | --- | --- |
| 16.5 | 5.385 | 49.8 |
| 20.1 | 4.422 | 17.0 |
| 23.3 | 3.811 | 35.1 |
| 26.1 | 3.416 | 49.2 |
| 26.2 | 3.403 | 14.8 |
| 35.4 | 2.536 | 100.0 |
| 37.2 | 2.414 | 37.7 |
| 37.4 | 2.407 | 40.7 |
| 39.1 | 2.305 | 18.6 |
| 44.5 | 2.036 | 19.3 |



For Li11Mg4In9, a DFT-relaxed cell (PBE, Alexandria) gives the simulated powder X-ray diffraction pattern in this record (Cu Kα).
Peak positions follow from Bragg's law for the DFT cell and can differ from measured ones.

Structure:
abc: 12.4912 12.4912 3.2632
angles: 90.00 90.00 106.58
Fractional coordinates of all 24 atoms:
Li  0.0000  0.0000  0.0000
Li  0.0441  0.4062  0.0000
Li  0.1878  0.8122  0.0000
Li  0.2005  0.2005  0.0000
Li  0.3703  0.6297  0.0000
Li  0.4062  0.0441  0.0000
Li  0.5938  0.9559  0.0000
Li  0.6297  0.3703  0.0000
Li  0.7995  0.7995  0.0000
Li  0.8122  0.1878  0.0000
Li  0.9559  0.5938  0.0000
Mg  0.2516  0.4088  0.5000
Mg  0.4088  0.2516  0.5000
Mg  0.5912  0.7484  0.5000
Mg  0.7484  0.5912  0.5000
In  0.0136  0.2052  0.5000
In  0.1601  0.6109  0.5000
In  0.2052  0.0136  0.5000
In  0.3891  0.8399  0.5000
In  0.5000  0.5000  0.5000
In  0.6109  0.1601  0.5000
In  0.7948  0.9864  0.5000
In  0.8399  0.3891  0.5000
In  0.9864  0.7948  0.5000

The 10 most intense peaks (10 to 90 degrees two-theta), low angle first:
| Position (°2θ) | d_spacing | I/Imax |
| --- | --- | --- |
| 23.0 | 3.869 | 78.3 |
| 23.8 | 3.733 | 49.1 |
| 26.7 | 3.338 | 26.0 |
| 27.3 | 3.263 | 72.1 |
| 36.0 | 2.492 | 100.0 |
| 36.6 | 2.457 | 40.4 |
| 37.6 | 2.394 | 25.7 |
| 38.6 | 2.333 | 24.8 |
| 45.9 | 1.979 | 36.8 |
| 67.5 | 1.387 | 21.9 |



For Li5Mg5In2, a DFT-relaxed cell (PBE, Alexandria) gives the simulated powder X-ray diffraction pattern in this record (Cu Kα).
Peak positions follow from Bragg's law for the DFT cell and can differ from measured ones.

Structure:
abc: 7.6655 7.6655 8.4395
angles: 123.26 123.26 36.97
Fractional coordinates of all 12 atoms:
Li  0.0000  0.0000  0.0000
Li  0.0755  0.0755  0.3948
Li  0.2431  0.2431  0.2229
Li  0.7569  0.7569  0.7771
Li  0.9245  0.9245  0.6052
Mg  0.3197  0.3197  0.6433
Mg  0.4158  0.4158  0.0763
Mg  0.5000  0.5000  0.5000
Mg  0.5842  0.5842  0.9237
Mg  0.6803  0.6803  0.3567
In  0.1580  0.1580  0.8009
In  0.8420  0.8420  0.1991

The 10 most intense peaks (10 to 90 degrees two-theta), low angle first:
| Position (°2θ) | d_spacing | I/Imax |
| --- | --- | --- |
| 12.9 | 6.870 | 100.0 |
| 21.1 | 4.213 | 42.9 |
| 25.9 | 3.436 | 93.5 |
| 29.0 | 3.078 | 41.3 |
| 29.1 | 3.067 | 27.7 |
| 37.0 | 2.432 | 97.3 |
| 37.1 | 2.423 | 59.6 |
| 39.3 | 2.292 | 23.2 |
| 53.3 | 1.718 | 26.4 |
| 66.7 | 1.402 | 17.5 |



For Li2Mg4In, a DFT-relaxed cell (PBE, Alexandria) gives the simulated powder X-ray diffraction pattern in this record (Cu Kα).
Peak positions follow from Bragg's law for the DFT cell and can differ from measured ones.

Structure:
abc: 7.6349 5.6442 7.9953
angles: 90.00 115.79 90.00
Fractional coordinates of all 14 atoms:
Li  0.0349  0.2500  0.4283
Li  0.1930  0.7500  0.9993
Li  0.8070  0.2500  0.0007
Li  0.9651  0.7500  0.5717
Mg  0.2435  0.2500  0.1894
Mg  0.3744  0.0011  0.7780
Mg  0.3744  0.4989  0.7780
Mg  0.3964  0.7500  0.4278
Mg  0.6036  0.2500  0.5722
Mg  0.6256  0.5011  0.2220
Mg  0.6256  0.9989  0.2220
Mg  0.7565  0.7500  0.8106
In  0.0263  0.2500  0.7811
In  0.9737  0.7500  0.2189

The 10 most intense peaks (10 to 90 degrees two-theta), low angle first:
| Position (°2θ) | d_spacing | I/Imax |
| --- | --- | --- |
| 12.9 | 6.874 | 40.2 |
| 20.0 | 4.442 | 72.1 |
| 20.7 | 4.293 | 100.0 |
| 24.7 | 3.599 | 50.0 |
| 28.2 | 3.160 | 40.3 |
| 34.4 | 2.611 | 35.9 |
| 36.2 | 2.484 | 30.9 |
| 37.1 | 2.422 | 35.0 |
| 37.5 | 2.401 | 45.4 |
| 39.1 | 2.303 | 46.6 |



For LiMgIn, a DFT-relaxed cell (PBE, Alexandria) gives the simulated powder X-ray diffraction pattern in this record (Cu Kα).
Peak positions follow from Bragg's law for the DFT cell and can differ from measured ones.

Structure:
abc: 7.7114 7.5099 3.0964
angles: 81.94 74.63 23.43
Fractional coordinates of all 3 atoms:
Li  0.0000  0.0000  0.0000
Mg  0.6602  0.6602  0.3398
In  0.3405  0.3405  0.6595

The 10 most intense peaks (10 to 90 degrees two-theta), low angle first:
| Position (°2θ) | d_spacing | I/Imax |
| --- | --- | --- |
| 12.1 | 7.290 | 100.0 |
| 24.4 | 3.645 | 25.8 |
| 31.1 | 2.876 | 49.9 |
| 35.7 | 2.512 | 84.4 |
| 37.0 | 2.430 | 14.9 |
| 37.8 | 2.378 | 13.1 |
| 43.8 | 2.069 | 26.5 |
| 52.3 | 1.748 | 10.6 |
| 54.0 | 1.698 | 12.6 |
| 64.2 | 1.452 | 11.6 |